Starting from the GGA-PBE geometry in Alexandria, the XRD peak list of ZnP2H was simulated for Cu Kα, 1.54184 Å.
No peak broadening, texture or thermal motion is included.

Top 8 peaks for 15° ≤ 2θ ≤ 90°, by angle:
| 2theta | I/Imax |
| --- | --- |
| 22.4 | 25.8 |
| 29.9 | 96.0 |
| 33.4 | 100.0 |
| 41.4 | 38.6 |
| 49.3 | 53.3 |
| 52.3 | 38.4 |
| 52.9 | 25.0 |
| 72.3 | 16.3 |

Structural model:
a = 4.178 Å, b = 4.178 Å, c = 12.800 Å
α = 90.00°, β = 90.00°, γ = 90.00°
Positions (direct):
Zn 0.000 0.000 0.000
Zn 0.000 0.500 0.250
Zn 0.500 0.000 0.750
Zn 0.500 0.500 0.500
P 0.123 0.250 0.625
P 0.250 0.623 0.875
P 0.250 0.877 0.375
P 0.377 0.250 0.125
P 0.623 0.750 0.125
P 0.750 0.123 0.375
P 0.750 0.377 0.875
P 0.877 0.750 0.625
H 0.000 0.000 0.500
H 0.000 0.500 0.750
H 0.500 0.000 0.250
H 0.500 0.500 0.000


Starting from the GGA-PBE geometry in Alexandria, the XRD peak list of CsAgMoI6 was simulated for Cu Kα, 1.54184 Å.
No peak broadening, texture or thermal motion is included.

Top 8 peaks for 15° ≤ 2θ ≤ 90°, by angle:
| 2theta | I/Imax |
| --- | --- |
| 16.9 | 61.1 |
| 25.6 | 100.0 |
| 31.3 | 98.9 |
| 37.5 | 25.3 |
| 39.3 | 21.3 |
| 41.0 | 40.0 |
| 48.5 | 26.5 |
| 52.5 | 17.6 |

Structural model:
a = 7.620 Å, b = 7.620 Å, c = 8.619 Å
α = 90.00°, β = 90.00°, γ = 120.00°
Positions (direct):
Cs 0.000 0.000 0.000
Ag 0.333 0.667 0.500
Mo 0.667 0.333 0.500
I 0.379 0.025 0.686
I 0.379 0.355 0.314
I 0.645 0.025 0.314
I 0.645 0.621 0.686
I 0.975 0.355 0.686
I 0.975 0.621 0.314


Starting from the GGA-PBE geometry in Alexandria, the XRD peak list of MgCd4Ga2 was simulated for Cu Kα, 1.54184 Å.
No peak broadening, texture or thermal motion is included.

Top 8 peaks for 15° ≤ 2θ ≤ 90°, by angle:
| 2theta | I/Imax |
| --- | --- |
| 34.0 | 38.0 |
| 36.5 | 50.9 |
| 36.7 | 100.0 |
| 37.2 | 91.0 |
| 41.3 | 21.9 |
| 50.7 | 23.6 |
| 68.4 | 20.1 |
| 71.8 | 25.2 |

Structural model:
a = 4.929 Å, b = 19.406 Å, c = 3.135 Å
α = 90.00°, β = 90.00°, γ = 90.00°
Positions (direct):
Mg 0.000 0.000 0.000
Mg 0.500 0.500 0.000
Cd 0.000 0.146 0.500
Cd 0.000 0.294 0.000
Cd 0.000 0.706 0.000
Cd 0.000 0.854 0.500
Cd 0.500 0.206 0.000
Cd 0.500 0.354 0.500
Cd 0.500 0.646 0.500
Cd 0.500 0.794 0.000
Ga 0.000 0.432 0.500
Ga 0.000 0.568 0.500
Ga 0.500 0.068 0.500
Ga 0.500 0.932 0.500


Starting from the GGA-PBE geometry in Alexandria, the XRD peak list of La2DyIn9 was simulated for Cu Kα, 1.54184 Å.
No peak broadening, texture or thermal motion is included.

Top 8 peaks for 15° ≤ 2θ ≤ 90°, by angle:
| 2theta | I/Imax |
| --- | --- |
| 32.7 | 100.0 |
| 37.9 | 33.6 |
| 38.1 | 16.2 |
| 54.7 | 11.3 |
| 54.8 | 22.0 |
| 65.2 | 26.2 |
| 65.4 | 12.4 |
| 68.6 | 11.1 |

Structural model:
a = 4.745 Å, b = 4.745 Å, c = 14.187 Å
α = 90.00°, β = 90.00°, γ = 90.00°
Positions (direct):
La 0.000 0.000 0.171
La 0.000 0.000 0.829
Dy 0.000 0.000 0.500
In 0.000 0.500 0.000
In 0.000 0.500 0.340
In 0.000 0.500 0.660
In 0.500 0.000 0.000
In 0.500 0.000 0.340
In 0.500 0.000 0.660
In 0.500 0.500 0.167
In 0.500 0.500 0.500
In 0.500 0.500 0.833


Starting from the GGA-PBE geometry in Alexandria, the XRD peak list of DyH4Pd was simulated for Cu Kα, 1.54184 Å.
No peak broadening, texture or thermal motion is included.

Top 8 peaks for 15° ≤ 2θ ≤ 90°, by angle:
| 2theta | I/Imax |
| --- | --- |
| 26.7 | 91.2 |
| 29.8 | 68.1 |
| 32.8 | 100.0 |
| 38.0 | 67.3 |
| 40.5 | 58.5 |
| 51.2 | 29.4 |
| 55.0 | 23.5 |
| 63.7 | 29.5 |

Structural model:
a = 3.712 Å, b = 6.667 Å, c = 5.063 Å
α = 90.00°, β = 90.00°, γ = 90.00°
Positions (direct):
Dy 0.250 0.250 0.113
Dy 0.750 0.750 0.887
H 0.250 0.250 0.634
H 0.250 0.584 0.073
H 0.250 0.750 0.685
H 0.250 0.916 0.073
H 0.750 0.084 0.927
H 0.750 0.250 0.315
H 0.750 0.416 0.927
H 0.750 0.750 0.366
Pd 0.250 0.750 0.353
Pd 0.750 0.250 0.647


Starting from the GGA-PBE geometry in Alexandria, the XRD peak list of Hf3Bi2 was simulated for Cu Kα, 1.54184 Å.
No peak broadening, texture or thermal motion is included.

Top 8 peaks for 15° ≤ 2θ ≤ 90°, by angle:
| 2theta | I/Imax |
| --- | --- |
| 29.5 | 27.2 |
| 32.9 | 100.0 |
| 34.1 | 48.7 |
| 34.9 | 20.0 |
| 36.6 | 79.0 |
| 37.1 | 22.9 |
| 38.3 | 36.4 |
| 41.2 | 35.2 |

Structural model:
a = 7.755 Å, b = 7.755 Å, c = 7.755 Å
α = 65.61°, β = 65.61°, γ = 65.61°
Positions (direct):
Hf 0.000 0.000 0.000
Hf 0.159 0.159 0.159
Hf 0.212 0.424 0.667
Hf 0.333 0.788 0.576
Hf 0.424 0.667 0.212
Hf 0.576 0.333 0.788
Hf 0.667 0.212 0.424
Hf 0.788 0.576 0.333
Hf 0.841 0.841 0.841
Bi 0.019 0.199 0.566
Bi 0.199 0.566 0.019
Bi 0.434 0.981 0.801
Bi 0.566 0.019 0.199
Bi 0.801 0.434 0.981
Bi 0.981 0.801 0.434